Entry 1:
For Sr5Hg3, a structure optimized by DFT (GGA-PBE) gives the computed powder X-ray diffraction pattern in this record (CuKα).
Intensities are scaled so that the largest is 100.

Atomic structure:
a b c (Å): 7.475 18.465 9.230
angles (deg): 90.00 104.00 90.00
Space group C2/m (No. 12)
Unique sites:
Sr (0.163, 0.188, 0.206) (multiplicity 8)
Sr (0.213, 0.393, 0.372) (multiplicity 8)
Sr (0.244, 0.500, 0.980) (multiplicity 4)
Hg (0.000, 0.251, 0.500) (multiplicity 4)
Hg (0.000, 0.344, 0.000) (multiplicity 4)
Hg (0.077, 0.000, 0.316) (multiplicity 4)

Main lines, low angle first (2θ = 5–70°):
d [Å]	I (rel.)	index
4.693	56.1	1 3 0
3.396	41.0	1 1 2
3.045	100.0	2 2 -2
2.985	53.7	1 5 1
2.910	47.6	0 6 1
2.880	40.7	2 4 -1
2.841	47.3	0 2 3
2.719	52.1	1 3 -3
2.579	62.1	2 4 1
2.361	36.7	2 6 -1

Entry 2:
For Sr4Hg3, a structure optimized by DFT (GGA-PBE) gives the computed powder X-ray diffraction pattern in this record (CuKα).
Intensities are scaled so that the largest is 100.

Atomic structure:
a b c (Å): 4.144 4.144 30.120
angles (deg): 90.00 90.00 90.00
Space group I4/mmm (No. 139)
Unique sites:
Sr (0.000, 0.000, 0.063) (multiplicity 4)
Sr (0.000, 0.000, 0.332) (multiplicity 4)
Hg (0.000, 0.000, 0.220) (multiplicity 4)
Hg (0.000, 0.000, 0.500) (multiplicity 2)

Main lines, low angle first (2θ = 5–70°):
d [Å]	I (rel.)	index
15.060	23.9	0 0 2
7.530	50.4	0 0 4
2.985	100.0	1 0 7
2.931	63.3	1 1 0
2.731	19.3	1 1 4
2.285	36.7	1 0 11
2.072	23.9	2 0 0
1.702	39.1	2 1 7
1.535	21.3	2 1 11
1.453	13.2	1 1 18